No. 1
Calculated powder XRD pattern
Compound: Ba2NaNb5O15
Radiation: CuKα
Structure: the PBE geometry in OQMD
No peak broadening, texture or thermal motion is included.

Largest 8 diffraction maxima, most intense first, 10 to 80 degrees two-theta:
(hkl)  2θ (°)  d (Å)  I_rel
4 1 0  29.37  3.041  100
2 1 1  27.22  3.276  98
3 1 1  31.63  2.829  85
0 0 2  44.91  2.018  42
3 2 0  25.61  3.478  35
4 1 2  54.57  1.682  35
5 5 0  51.53  1.773  30
6 2 1  51.34  1.780  29

Atomic structure:
```
data_Ba2NaNb5O15
_chemical_formula_sum 'Ba4 Na2 Nb10 O30'
_cell_length_a 12.5404
_cell_length_b 12.5404
_cell_length_c 4.0366
_cell_angle_alpha 90.00
_cell_angle_beta 90.00
_cell_angle_gamma 90.00
_symmetry_space_group_name_H-M 'P 4 b m'
_symmetry_Int_Tables_number 100
loop_
_symmetry_equiv_pos_as_xyz
'x,y,z'
'-y,x,z'
'-x,-y,z'
'y,-x,z'
'-x+1/2,y+1/2,z'
'y+1/2,x+1/2,z'
'x+1/2,-y+1/2,z'
'-y+1/2,-x+1/2,z'
loop_
_atom_site_label
_atom_site_type_symbol
_atom_site_fract_x
_atom_site_fract_y
_atom_site_fract_z
_atom_site_occupancy
Ba1 Ba 0.1708 0.3292 0.0000 1
Na1 Na 0.0000 0.0000 0.9648 1
Nb1 Nb 0.0000 0.5000 0.4828 1
Nb2 Nb 0.0762 0.7914 0.4865 1
O1 O 0.0000 0.5000 0.0228 1
O2 O 0.0075 0.3427 0.5335 1
O3 O 0.0673 0.1405 0.5390 1
O4 O 0.0795 0.7943 0.0250 1
O5 O 0.2208 0.7208 0.5253 1
```

---

No. 2
Calculated powder XRD pattern
Compound: Dy3NiSn3Pt2
Radiation: CuKα
Structure: the PBE geometry in OQMD
No peak broadening, texture or thermal motion is included.

Largest 8 diffraction maxima, most intense first, 10 to 80 degrees two-theta:
(hkl)  2θ (°)  d (Å)  I_rel
1 1 1  33.05  2.710  100
2 0 1  35.89  2.502  72
2 1 0  36.55  2.459  47
3 0 0  41.65  2.168  34
3 2 1  67.12  1.395  25
2 1 1  43.46  2.082  23
0 0 2  46.38  1.958  23
2 1 2  60.44  1.532  22

Atomic structure:
```
data_Dy3NiSn3Pt2
_chemical_formula_sum 'Dy3 Ni1 Sn3 Pt2'
_cell_length_a 7.5116
_cell_length_b 7.5116
_cell_length_c 3.9156
_cell_angle_alpha 90.00
_cell_angle_beta 90.00
_cell_angle_gamma 120.00
_symmetry_space_group_name_H-M 'P -6 2 m'
_symmetry_Int_Tables_number 189
_symmetry_space_group_name_Hall 'P -6 -2'
loop_
_atom_site_label
_atom_site_type_symbol
_atom_site_fract_x
_atom_site_fract_y
_atom_site_fract_z
_atom_site_occupancy
Dy1 Dy 0.0000 0.4057 0.0000 1
Ni1 Ni 0.0000 0.0000 0.0000 1
Sn1 Sn 0.0000 0.7513 0.5000 1
Pt1 Pt 0.3333 0.6667 0.5000 1
```